1.
This entry pairs a crystal structure of Dy5Er5Bi6 with its theoretical powder X-ray diffraction pattern. Radiation: Cu Kα. Structure: DFT lattice parameters and positions (GGA-PBE).
Neutral-atom scattering factors, no anomalous dispersion.

Atomic structure:
a b c (Å): 6.343 15.858 9.131
angles (deg): 90.00 90.00 90.00
Space group Amm2 (No. 38)
Symmetry-distinct sites (fractional):
Dy1 0.000 0.000 0.000
Dy2 0.250 0.166 0.258
Er1 0.000 0.121 0.637
Er2 0.500 0.000 0.517
Er3 0.500 0.121 0.879
Bi1 0.000 0.000 0.370
Bi2 0.000 0.195 0.952
Bi3 0.500 0.000 0.146
Bi4 0.500 0.194 0.564

The 10 most intense peaks (5° ≤ 2θ ≤ 70°), by angle:
hkl 2 0 0, 28.14 deg, d = 3.172 Å, intensity 22.6
hkl 0 4 2, 29.85 deg, d = 2.993 Å, intensity 24.0
hkl 1 4 2, 33.10 deg, d = 2.707 Å, intensity 100.0
hkl 0 3 3, 33.96 deg, d = 2.639 Å, intensity 48.5
hkl 2 3 1, 34.42 deg, d = 2.606 Å, intensity 72.3
hkl 1 7 1, 43.61 deg, d = 2.075 Å, intensity 16.5
hkl 2 0 4, 49.13 deg, d = 1.854 Å, intensity 17.8
hkl 3 4 2, 53.04 deg, d = 1.727 Å, intensity 19.7
hkl 2 5 5, 65.97 deg, d = 1.416 Å, intensity 13.3
hkl 4 3 3, 69.10 deg, d = 1.359 Å, intensity 12.8

---

2.
This entry pairs a crystal structure of Pm8Ge2Pb3 with its theoretical powder X-ray diffraction pattern. Radiation: Cu Kα. Structure: DFT lattice parameters and positions (GGA-PBE).
Neutral-atom scattering factors, no anomalous dispersion.

Atomic structure:
a b c (Å): 10.422 15.308 5.126
angles (deg): 90.00 90.00 90.00
Space group Cmmm (No. 65)
Symmetry-distinct sites (fractional):
Pm1 0.000 0.130 0.000
Pm2 0.000 0.362 0.000
Pm3 0.248 0.365 0.500
Ge1 0.000 0.239 0.500
Pb1 0.000 0.500 0.500
Pb2 0.240 0.000 0.000

The 10 most intense peaks (5° ≤ 2θ ≤ 70°), by angle:
hkl 2 2 1, 27.04 deg, d = 3.298 Å, intensity 17.7
hkl 2 4 1, 33.92 deg, d = 2.643 Å, intensity 100.0
hkl 4 0 0, 34.42 deg, d = 2.606 Å, intensity 24.9
hkl 0 0 2, 35.01 deg, d = 2.563 Å, intensity 24.1
hkl 0 8 0, 47.51 deg, d = 1.914 Å, intensity 11.1
hkl 4 0 2, 49.91 deg, d = 1.827 Å, intensity 17.5
hkl 4 8 0, 59.98 deg, d = 1.542 Å, intensity 8.5
hkl 0 8 2, 60.37 deg, d = 1.533 Å, intensity 8.4
hkl 6 4 1, 61.34 deg, d = 1.511 Å, intensity 17.8
hkl 2 4 3, 62.10 deg, d = 1.495 Å, intensity 17.6

---

3.
This entry pairs a crystal structure of AlGa3Ag with its theoretical powder X-ray diffraction pattern. Radiation: Cu Kα. Structure: DFT lattice parameters and positions (GGA-PBE).
Neutral-atom scattering factors, no anomalous dispersion.

Atomic structure:
a b c (Å): 2.855 9.998 6.507
angles (deg): 90.00 90.01 90.00
Space group P2_1/m (No. 11)
Symmetry-distinct sites (fractional):
Al1 0.001 0.250 0.401
Ga1 0.499 0.588 0.340
Ga2 0.499 0.750 0.958
Ag1 0.000 0.000 0.000

The 10 most intense peaks (5° ≤ 2θ ≤ 70°), by angle:
hkl 0 0 1, 13.61 deg, d = 6.507 Å, intensity 37.3
hkl 0 2 0, 17.74 deg, d = 4.999 Å, intensity 18.1
hkl 0 3 1, 30.13 deg, d = 2.966 Å, intensity 43.5
hkl 0 4 1, 38.61 deg, d = 2.332 Å, intensity 51.7
hkl 1 2 -1, 38.87 deg, d = 2.317 Å, intensity 100.0
hkl 0 0 3, 41.64 deg, d = 2.169 Å, intensity 35.9
hkl 1 1 2, 43.12 deg, d = 2.098 Å, intensity 22.6
hkl 1 3 1, 44.02 deg, d = 2.057 Å, intensity 19.5
hkl 0 4 2, 45.78 deg, d = 1.982 Å, intensity 26.4
hkl 1 2 -2, 46.03 deg, d = 1.972 Å, intensity 40.1

---

Repeat the first record exactly.
This entry pairs a crystal structure of Dy5Er5Bi6 with its theoretical powder X-ray diffraction pattern. Radiation: Cu Kα. Structure: DFT lattice parameters and positions (GGA-PBE).
Neutral-atom scattering factors, no anomalous dispersion.

Atomic structure:
a b c (Å): 6.343 15.858 9.131
angles (deg): 90.00 90.00 90.00
Space group Amm2 (No. 38)
Symmetry-distinct sites (fractional):
Dy1 0.000 0.000 0.000
Dy2 0.250 0.166 0.258
Er1 0.000 0.121 0.637
Er2 0.500 0.000 0.517
Er3 0.500 0.121 0.879
Bi1 0.000 0.000 0.370
Bi2 0.000 0.195 0.952
Bi3 0.500 0.000 0.146
Bi4 0.500 0.194 0.564

The 10 most intense peaks (5° ≤ 2θ ≤ 70°), by angle:
hkl 2 0 0, 28.14 deg, d = 3.172 Å, intensity 22.6
hkl 0 4 2, 29.85 deg, d = 2.993 Å, intensity 24.0
hkl 1 4 2, 33.10 deg, d = 2.707 Å, intensity 100.0
hkl 0 3 3, 33.96 deg, d = 2.639 Å, intensity 48.5
hkl 2 3 1, 34.42 deg, d = 2.606 Å, intensity 72.3
hkl 1 7 1, 43.61 deg, d = 2.075 Å, intensity 16.5
hkl 2 0 4, 49.13 deg, d = 1.854 Å, intensity 17.8
hkl 3 4 2, 53.04 deg, d = 1.727 Å, intensity 19.7
hkl 2 5 5, 65.97 deg, d = 1.416 Å, intensity 13.3
hkl 4 3 3, 69.10 deg, d = 1.359 Å, intensity 12.8